Theoretical powder X-ray diffraction pattern of La5Cu for a wavelength of 1.5418 Å, from a DFT-relaxed cell (GGA-PBE, Alexandria).
Kinematic intensities with the Lorentz-polarization factor, no thermal factor.

The 6 most intense peaks (2θ from 5° to 70°), in order of rising 2θ:
Position (°2θ)	I_rel
30.17	43
30.41	81
31.25	100
33.00	93
47.33	21
58.47	32

Structural model:
abc: 6.609 6.609 8.889
angles: 110.13 110.13 32.89
Sites, in units of the cell vectors:
1 La 0.000 0.000 0.000
2 La 0.025 0.025 0.424
3 La 0.295 0.295 0.148
4 La 0.328 0.328 0.587
5 La 0.659 0.659 0.785
6 Cu 0.671 0.671 0.302

Theoretical powder X-ray diffraction pattern of SrInNi4P2 for a wavelength of 1.5418 Å, from a DFT-relaxed cell (GGA-PBE, Alexandria).
Kinematic intensities with the Lorentz-polarization factor, no thermal factor.

The 6 most intense peaks (2θ from 5° to 70°), in order of rising 2θ:
Position (°2θ)	I_rel
9.25	36
30.16	87
38.62	100
44.25	42
48.18	51
57.90	31

Structural model:
abc: 3.777 3.777 9.559
angles: 90.00 90.00 90.00
Sites, in units of the cell vectors:
1 Sr 0.000 0.000 0.000
2 In 0.000 0.000 0.500
3 Ni 0.000 0.500 0.300
4 Ni 0.000 0.500 0.700
5 Ni 0.500 0.000 0.300
6 Ni 0.500 0.000 0.700
7 P 0.500 0.500 0.187
8 P 0.500 0.500 0.813

Theoretical powder X-ray diffraction pattern of Nd3Sn5 for a wavelength of 1.5418 Å, from a DFT-relaxed cell (GGA-PBE, Alexandria).
Kinematic intensities with the Lorentz-polarization factor, no thermal factor.

The 6 most intense peaks (2θ from 5° to 70°), in order of rising 2θ:
Position (°2θ)	I_rel
32.16	100
35.15	17
38.34	33
52.99	24
65.47	27
67.28	13

Structural model:
abc: 10.739 10.739 10.739
angles: 154.75 154.75 36.01
Sites, in units of the cell vectors:
1 Nd 0.000 0.000 0.000
2 Nd 0.641 0.141 0.500
3 Nd 0.859 0.359 0.500
4 Sn 0.122 0.622 0.500
5 Sn 0.252 0.252 0.000
6 Sn 0.378 0.878 0.500
7 Sn 0.500 0.500 0.000
8 Sn 0.748 0.748 0.000

Theoretical powder X-ray diffraction pattern of Na3Ag5Sb2 for a wavelength of 1.5418 Å, from a DFT-relaxed cell (GGA-PBE, Alexandria).
Kinematic intensities with the Lorentz-polarization factor, no thermal factor.

The 6 most intense peaks (2θ from 5° to 70°), in order of rising 2θ:
Position (°2θ)	I_rel
16.26	56
20.42	100
35.60	54
36.69	44
37.94	66
42.86	43

Structural model:
abc: 9.957 9.957 9.957
angles: 113.63 77.29 145.01
Sites, in units of the cell vectors:
1 Na 0.161 0.722 0.884
2 Na 0.250 0.250 0.000
3 Na 0.339 0.222 0.561
4 Na 0.661 0.778 0.439
5 Na 0.750 0.750 0.000
6 Na 0.839 0.278 0.116
7 Ag 0.048 0.250 0.798
8 Ag 0.148 0.432 0.580
9 Ag 0.250 0.750 0.500
10 Ag 0.352 0.932 0.285
11 Ag 0.452 0.250 0.202
12 Ag 0.548 0.750 0.798
13 Ag 0.648 0.068 0.715
14 Ag 0.750 0.250 0.500
15 Ag 0.852 0.568 0.420
16 Ag 0.952 0.750 0.202
17 Sb 0.124 0.182 0.306
18 Sb 0.376 0.682 0.058
19 Sb 0.624 0.318 0.942
20 Sb 0.876 0.818 0.694

Theoretical powder X-ray diffraction pattern of CaPa2H8 for a wavelength of 1.5418 Å, from a DFT-relaxed cell (GGA-PBE, Alexandria).
Kinematic intensities with the Lorentz-polarization factor, no thermal factor.

The 6 most intense peaks (2θ from 5° to 70°), in order of rising 2θ:
Position (°2θ)	I_rel
15.42	23
29.42	100
33.04	36
49.78	25
56.80	31
60.96	20

Structural model:
abc: 6.548 6.548 6.548
angles: 145.92 135.41 57.29
Sites, in units of the cell vectors:
1 Ca 0.000 0.000 0.000
2 Pa 0.325 0.325 0.000
3 Pa 0.675 0.675 0.000
4 H 0.099 0.840 0.259
5 H 0.184 0.684 0.500
6 H 0.276 0.500 0.776
7 H 0.419 0.160 0.259
8 H 0.581 0.840 0.741
9 H 0.724 0.500 0.224
10 H 0.816 0.316 0.500
11 H 0.901 0.160 0.741

Theoretical powder X-ray diffraction pattern of Li4B5C3 for a wavelength of 1.5418 Å, from a DFT-relaxed cell (GGA-PBE, Alexandria).
Kinematic intensities with the Lorentz-polarization factor, no thermal factor.

The 6 most intense peaks (2θ from 5° to 70°), in order of rising 2θ:
Position (°2θ)	I_rel
24.15	100
36.58	2
37.19	5
44.84	74
49.47	21
67.05	24

Structural model:
abc: 5.584 5.584 7.370
angles: 90.00 90.00 120.00
Sites, in units of the cell vectors:
1 Li 0.000 0.000 0.221
2 Li 0.000 0.000 0.779
3 Li 0.000 0.500 0.224
4 Li 0.000 0.500 0.776
5 Li 0.500 0.000 0.224
6 Li 0.500 0.000 0.776
7 Li 0.500 0.500 0.224
8 Li 0.500 0.500 0.776
9 B 0.167 0.333 0.000
10 B 0.167 0.833 0.000
11 B 0.333 0.167 0.000
12 B 0.333 0.667 0.000
13 B 0.333 0.667 0.500
14 B 0.667 0.333 0.000
15 B 0.667 0.333 0.500
16 B 0.667 0.833 0.000
17 B 0.833 0.167 0.000
18 B 0.833 0.667 0.000
19 C 0.160 0.320 0.500
20 C 0.160 0.840 0.500
21 C 0.320 0.160 0.500
22 C 0.680 0.840 0.500
23 C 0.840 0.160 0.500
24 C 0.840 0.680 0.500

Theoretical powder X-ray diffraction pattern of TbY2Ru3 for a wavelength of 1.5418 Å, from a DFT-relaxed cell (GGA-PBE, Alexandria).
Kinematic intensities with the Lorentz-polarization factor, no thermal factor.

The 6 most intense peaks (2θ from 5° to 70°), in order of rising 2θ:
Position (°2θ)	I_rel
37.26	100
37.35	20
53.55	7
53.83	14
67.09	14
67.28	27

Structural model:
abc: 7.618 7.618 3.423
angles: 90.00 90.00 143.16
Sites, in units of the cell vectors:
1 Tb 0.000 0.000 0.000
2 Y 0.333 0.667 0.000
3 Y 0.667 0.333 0.000
4 Ru 0.166 0.834 0.500
5 Ru 0.500 0.500 0.500
6 Ru 0.834 0.166 0.500

Theoretical powder X-ray diffraction pattern of TbErIrPt for a wavelength of 1.5418 Å, from a DFT-relaxed cell (GGA-PBE, Alexandria).
Kinematic intensities with the Lorentz-polarization factor, no thermal factor.

The 6 most intense peaks (2θ from 5° to 70°), in order of rising 2θ:
Position (°2θ)	I_rel
25.80	1
36.81	100
52.91	6
53.11	12
66.22	12
66.35	24

Structural model:
abc: 3.449 3.449 6.922
angles: 90.00 90.00 90.00
Sites, in units of the cell vectors:
1 Tb 0.000 0.000 0.000
2 Er 0.000 0.000 0.515
3 Ir 0.500 0.500 0.753
4 Pt 0.500 0.500 0.264

Question: Which formula does entry 4 have?
Answer: Na3Ag5Sb2